(1)
Computed XRD peak list of La4RuAu for CuKα, from a structure optimized by DFT (GGA-PBE).
Peak positions follow from Bragg's law for the DFT cell and can differ from measured ones.

Principal peaks in the range 2θ = 15–90°, by intensity:
30.9 deg, d = 2.897 Å, intensity 100.0
35.4 deg, d = 2.533 Å, intensity 78.5
31.6 deg, d = 2.827 Å, intensity 72.4
19.7 deg, d = 4.502 Å, intensity 67.5
22.7 deg, d = 3.921 Å, intensity 66.8
34.2 deg, d = 2.625 Å, intensity 62.2

a b c (Å): 8.7614 8.7614 7.0610
angles (deg): 108.43 108.43 116.27
Positions (direct):
La (0.0504, 0.6205, 0.8358)
La (0.2045, 0.2789, 0.7414)
La (0.2789, 0.2045, 0.2414)
La (0.3795, 0.9496, 0.6642)
La (0.6205, 0.0504, 0.3358)
La (0.7211, 0.7955, 0.7586)
La (0.7955, 0.7211, 0.2586)
La (0.9496, 0.3795, 0.1642)
Ru (0.0914, 0.9086, 0.7500)
Ru (0.9086, 0.0914, 0.2500)
Au (0.3798, 0.6202, 0.2500)
Au (0.6202, 0.3798, 0.7500)



(2)
Computed XRD peak list of LaAu2S for CuKα, from a structure optimized by DFT (GGA-PBE).
Peak positions follow from Bragg's law for the DFT cell and can differ from measured ones.

Principal peaks in the range 2θ = 15–90°, by intensity:
31.7 deg, d = 2.825 Å, intensity 100.0
30.4 deg, d = 2.936 Å, intensity 48.6
15.1 deg, d = 5.872 Å, intensity 38.3
45.5 deg, d = 1.995 Å, intensity 34.4
43.3 deg, d = 2.089 Å, intensity 19.5
43.5 deg, d = 2.080 Å, intensity 18.7

a b c (Å): 3.9994 4.0003 6.3999
angles (deg): 72.13 75.35 90.00
Positions (direct):
La (0.0000, 0.0000, 0.0000)
Au (0.2626, 0.2667, 0.4658)
Au (0.7374, 0.7333, 0.5342)
S (0.5000, 0.5000, 0.0000)



(3)
Computed XRD peak list of La4Sb8Au3 for CuKα, from a structure optimized by DFT (GGA-PBE).
Peak positions follow from Bragg's law for the DFT cell and can differ from measured ones.

Principal peaks in the range 2θ = 15–90°, by intensity:
33.1 deg, d = 2.708 Å, intensity 100.0
39.9 deg, d = 2.260 Å, intensity 39.1
68.1 deg, d = 1.376 Å, intensity 25.8
57.7 deg, d = 1.598 Å, intensity 13.3
54.2 deg, d = 1.691 Å, intensity 13.0
35.2 deg, d = 2.549 Å, intensity 11.2

a b c (Å): 4.5203 4.5203 20.3936
angles (deg): 90.00 90.00 90.00
Positions (direct):
La (0.0000, 0.5000, 0.1186)
La (0.0000, 0.5000, 0.6290)
La (0.5000, 0.0000, 0.3710)
La (0.5000, 0.0000, 0.8814)
Sb (0.0000, 0.0000, 0.2445)
Sb (0.0000, 0.0000, 0.7555)
Sb (0.0000, 0.5000, 0.4111)
Sb (0.0000, 0.5000, 0.9237)
Sb (0.5000, 0.0000, 0.0763)
Sb (0.5000, 0.0000, 0.5889)
Sb (0.5000, 0.5000, 0.2451)
Sb (0.5000, 0.5000, 0.7549)
Au (0.0000, 0.0000, 0.0000)
Au (0.0000, 0.0000, 0.5000)
Au (0.5000, 0.5000, 0.5000)



(4)
Computed XRD peak list of LaAu2Se for CuKα, from a structure optimized by DFT (GGA-PBE).
Peak positions follow from Bragg's law for the DFT cell and can differ from measured ones.

Principal peaks in the range 2θ = 15–90°, by intensity:
32.7 deg, d = 2.738 Å, intensity 100.0
38.1 deg, d = 2.361 Å, intensity 96.2
27.1 deg, d = 3.296 Å, intensity 54.2
47.4 deg, d = 1.918 Å, intensity 34.0
41.0 deg, d = 2.199 Å, intensity 23.0
45.3 deg, d = 2.002 Å, intensity 22.3

a b c (Å): 3.9133 6.8889 6.8889
angles (deg): 33.79 90.00 90.00
Positions (direct):
La (0.0000, 0.0000, 0.0000)
Au (0.0000, 0.3118, 0.3118)
Au (0.5000, 0.8059, 0.8059)
Se (0.5000, 0.5845, 0.5845)



Question: Number 2 is which compound?
Answer: LaAu2S